Record 1
Calculated powder XRD pattern of HoSc2Os for CuKα, from the PBE geometry in Alexandria.
Kinematic intensities with the Lorentz-polarization factor, no thermal factor.

Crystal structure
```
data_HoSc2Os
_cell_length_a 3.9116
_cell_length_b 11.0980
_cell_length_c 8.4376
_cell_angle_alpha 90.00
_cell_angle_beta 90.00
_cell_angle_gamma 90.00
_symmetry_space_group_name_H-M 'C m c m'
_symmetry_Int_Tables_number 63
_symmetry_space_group_name_Hall '-C 2c 2'
loop_
_atom_site_label
_atom_site_type_symbol
_atom_site_fract_x
_atom_site_fract_y
_atom_site_fract_z
Ho1 Ho 0.0000 0.0654 0.2500
Sc1 Sc 0.0000 0.3514 0.0638
Os1 Os 0.0000 0.2479 0.7500
```

Most intense lines, 2θ from 5° to 70°, most intense first:
2θ 35.04, intensity 100.0, (1 3 1)
2θ 21.06, intensity 58.6, (0 0 2)
2θ 32.24, intensity 38.6, (1 1 2)
2θ 46.75, intensity 35.6, (1 3 3)
2θ 40.32, intensity 19.4, (1 1 3)
2θ 65.29, intensity 17.9, (1 3 5)
2θ 46.43, intensity 17.5, (2 0 0)
2θ 34.01, intensity 16.1, (0 4 1)

Record 2
Calculated powder XRD pattern of Y4Ge6Rh7 for CuKα, from the PBE geometry in Alexandria.
Kinematic intensities with the Lorentz-polarization factor, no thermal factor.

Crystal structure
```
data_Y4Ge6Rh7
_cell_length_a 8.4125
_cell_length_b 8.4125
_cell_length_c 8.4125
_cell_angle_alpha 90.00
_cell_angle_beta 90.00
_cell_angle_gamma 90.00
_symmetry_space_group_name_H-M 'I m -3 m'
_symmetry_Int_Tables_number 229
_symmetry_space_group_name_Hall '-I 4 2 3'
loop_
_atom_site_label
_atom_site_type_symbol
_atom_site_fract_x
_atom_site_fract_y
_atom_site_fract_z
Y1 Y 0.2500 0.2500 0.2500
Ge1 Ge 0.0000 0.0000 0.3217
Rh1 Rh 0.0000 0.0000 0.0000
Rh2 Rh 0.0000 0.2500 0.5000
```

Most intense lines, 2θ from 5° to 70°, most intense first:
2θ 37.02, intensity 100.0, (2 2 2)
2θ 43.01, intensity 66.7, (4 0 0)
2θ 40.11, intensity 32.4, (3 2 1)
2θ 62.45, intensity 32.1, (4 4 0)
2θ 50.91, intensity 23.2, (3 3 2)
2θ 45.76, intensity 15.7, (3 3 0)
2θ 30.04, intensity 9.4, (2 2 0)
2θ 68.79, intensity 8.0, (6 1 1)

Q: Which formula does entry 2 have?
A: Y4Ge6Rh7

Q: What is the formula in the first record?
A: HoSc2Os